No. 1
For Tb6Pr16Sm7, a PBE-relaxed structure gives the calculated PXRD pattern in this record (Cu Ka).
Intensities are scaled so that the largest is 100.

Structure:
a b c (Å): 11.4439 11.4439 11.4439
angles (deg): 60.00 60.00 60.00
Fractional coordinates of all 29 atoms:
Tb  0.2355  0.2355  0.7645
Tb  0.2355  0.7645  0.2355
Tb  0.2355  0.7645  0.7645
Tb  0.7645  0.2355  0.2355
Tb  0.7645  0.2355  0.7645
Tb  0.7645  0.7645  0.2355
Pr  0.1236  0.6255  0.6255
Pr  0.1501  0.1501  0.1501
Pr  0.1501  0.1501  0.5496
Pr  0.1501  0.5496  0.1501
Pr  0.3745  0.3745  0.3745
Pr  0.3745  0.3745  0.8764
Pr  0.3745  0.8764  0.3745
Pr  0.4504  0.8499  0.8499
Pr  0.5496  0.1501  0.1501
Pr  0.6255  0.1236  0.6255
Pr  0.6255  0.6255  0.1236
Pr  0.6255  0.6255  0.6255
Pr  0.8499  0.4504  0.8499
Pr  0.8499  0.8499  0.4504
Pr  0.8499  0.8499  0.8499
Pr  0.8764  0.3745  0.3745
Sm  0.0000  0.0000  0.5000
Sm  0.0000  0.5000  0.0000
Sm  0.0000  0.5000  0.5000
Sm  0.5000  0.0000  0.0000
Sm  0.5000  0.0000  0.5000
Sm  0.5000  0.5000  0.0000
Sm  0.5000  0.5000  0.5000

Largest 12 diffraction maxima, sorted by position, 2θ = 10–90°:
Position (°2θ)	intensity
24.60	5
26.99	6
28.66	9
31.26	100
32.74	5
35.07	5
42.92	5
44.80	15
55.64	28
59.04	5
65.22	8
74.10	8

---

No. 2
For Ho3Mg3Cd2, a PBE-relaxed structure gives the calculated PXRD pattern in this record (Cu Ka).
Intensities are scaled so that the largest is 100.

Structure:
a b c (Å): 9.0986 9.0986 9.0986
angles (deg): 33.22 33.22 33.22
Fractional coordinates of all 8 atoms:
Ho  0.0000  0.0000  0.0000
Ho  0.2477  0.2477  0.2477
Ho  0.7503  0.7503  0.7503
Mg  0.1254  0.1254  0.1254
Mg  0.4980  0.4980  0.4980
Mg  0.6224  0.6224  0.6224
Cd  0.3745  0.3745  0.3745
Cd  0.8740  0.8740  0.8740

Largest 12 diffraction maxima, sorted by position, 2θ = 10–90°:
Position (°2θ)	intensity
10.30	14
20.01	12
20.89	27
24.11	20
34.22	100
34.48	98
49.37	35
61.11	18
61.61	36
61.77	18
82.43	16
82.87	15

---

No. 3
For CaZn3O4, a PBE-relaxed structure gives the calculated PXRD pattern in this record (Cu Ka).
Intensities are scaled so that the largest is 100.

Structure:
a b c (Å): 12.3221 3.4192 5.8724
angles (deg): 90.00 117.97 90.00
Fractional coordinates of all 16 atoms:
Ca  0.0000  0.0000  0.0000
Ca  0.5000  0.5000  0.0000
Zn  0.0012  0.5000  0.4888
Zn  0.2409  0.0000  0.8940
Zn  0.2546  0.5000  0.4144
Zn  0.5012  0.0000  0.4888
Zn  0.7409  0.5000  0.8940
Zn  0.7546  0.0000  0.4144
O  0.0562  0.0000  0.6927
O  0.0730  0.5000  0.2522
O  0.2952  0.5000  0.7926
O  0.3093  0.0000  0.2959
O  0.5562  0.5000  0.6927
O  0.5730  0.0000  0.2522
O  0.7952  0.0000  0.7926
O  0.8093  0.5000  0.2959

Largest 12 diffraction maxima, sorted by position, 2θ = 10–90°:
Position (°2θ)	intensity
30.25	75
30.44	39
32.92	81
34.48	69
34.60	100
34.84	32
45.22	23
53.61	26
53.98	50
59.70	34
59.96	23
64.36	20